No. 1
Li2S13: simulated powder X-ray diffraction pattern (Cu Kα (λ = 1.5418 Å)), based on a DFT-relaxed cell (PBE, Alexandria).
Intensities are scaled so that the largest is 100.

Lattice parameters (Å, degrees): 6.3387 6.7477 10.0699 90.24 91.71 93.57
Fractional positions:
Li 0.0751 0.3274 0.2051
Li 0.9249 0.6726 0.7949
S 0.0000 0.5000 0.0000
S 0.1419 0.9628 0.6665
S 0.1561 0.4346 0.6653
S 0.1628 0.9841 0.8578
S 0.2599 0.4215 0.8479
S 0.4530 0.7882 0.6272
S 0.4570 0.2438 0.1903
S 0.5430 0.7562 0.8097
S 0.5470 0.2118 0.3728
S 0.7401 0.5785 0.1521
S 0.8372 0.0159 0.1422
S 0.8439 0.5654 0.3347
S 0.8581 0.0372 0.3335

Principal peaks in the range 10 to 90 degrees two-theta, low angle first:
2θ (°)  I_rel
15.87  43
16.33  48
16.78  100
17.62  30
20.49  18
21.54  19
27.89  21
30.53  21
30.85  59
31.55  25

***

No. 2
Li3SbS3: simulated powder X-ray diffraction pattern (Cu Kα (λ = 1.5418 Å)), based on a DFT-relaxed cell (PBE, Alexandria).
Intensities are scaled so that the largest is 100.

Lattice parameters (Å, degrees): 8.0480 6.8311 10.1889 90.00 90.00 90.00
Fractional positions:
Li 0.0624 0.0448 0.0000
Li 0.0895 0.3453 0.4574
Li 0.2446 0.3760 0.1572
Li 0.2554 0.8760 0.6572
Li 0.4105 0.8453 0.9574
Li 0.4376 0.5448 0.5000
Li 0.5624 0.4552 0.0000
Li 0.5895 0.1547 0.4574
Li 0.7446 0.1240 0.1572
Li 0.7554 0.6240 0.6572
Li 0.9105 0.6547 0.9574
Li 0.9376 0.9552 0.5000
Sb 0.2366 0.3961 0.7743
Sb 0.2634 0.8961 0.2743
Sb 0.7366 0.1039 0.7743
Sb 0.7634 0.6039 0.2743
S 0.0375 0.1421 0.2638
S 0.1574 0.6967 0.4570
S 0.1770 0.7053 0.0802
S 0.3230 0.2053 0.5802
S 0.3426 0.1967 0.9570
S 0.4625 0.6421 0.7638
S 0.5375 0.3579 0.2638
S 0.6574 0.8033 0.4570
S 0.6770 0.7947 0.0802
S 0.8230 0.2947 0.5802
S 0.8426 0.3033 0.9570
S 0.9625 0.8579 0.7638

Principal peaks in the range 10 to 90 degrees two-theta, low angle first:
2θ (°)  I_rel
15.62  44
17.41  36
19.14  100
22.09  33
27.17  60
31.46  59
33.49  53
37.06  25
46.57  28
53.55  19

***

No. 3
Li2Sb3S4: simulated powder X-ray diffraction pattern (Cu Kα (λ = 1.5418 Å)), based on a DFT-relaxed cell (PBE, Alexandria).
Intensities are scaled so that the largest is 100.

Lattice parameters (Å, degrees): 9.2915 9.2915 6.4177 102.74 102.74 74.11
Fractional positions:
Li 0.1145 0.3402 0.4198
Li 0.3402 0.1145 0.9198
Li 0.6598 0.8855 0.0802
Li 0.8855 0.6598 0.5802
Sb 0.1848 0.5632 0.1452
Sb 0.4368 0.8152 0.3548
Sb 0.4559 0.5441 0.7500
Sb 0.5441 0.4559 0.2500
Sb 0.5632 0.1848 0.6452
Sb 0.8152 0.4368 0.8548
S 0.1271 0.3176 0.0345
S 0.1656 0.6016 0.5337
S 0.3176 0.1271 0.5345
S 0.3984 0.8344 0.9663
S 0.6016 0.1656 0.0337
S 0.6824 0.8729 0.4655
S 0.8344 0.3984 0.4663
S 0.8729 0.6824 0.9655

Principal peaks in the range 10 to 90 degrees two-theta, low angle first:
2θ (°)  I_rel
10.05  100
16.08  30
21.72  10
28.18  27
29.00  13
29.72  32
30.46  15
35.21  12
38.39  13
39.77  15